The following is a computed PXRD pattern of Rb2CoSiO4. It was derived from a structure optimized by DFT (GGA+U), using Cu Kα, 1.54184 Å.

Principal peaks in the range 10 to 90 degrees two-theta, low angle first:
d (Å)  2theta  intensity
3.862  23.03  47
3.092  28.88  50
2.990  29.89  100
2.976  30.03  41
2.846  31.44  46
2.496  35.99  51
2.328  38.67  41
1.683  54.51  35

```
Rb2CoSiO4
1.0
0.0000 5.9519 10.3718
2.5297 0.0000 10.3718
2.5297 5.9519 0.0000
Rb Co Si O
4 2 2 8
direct
0.0488 0.0488 0.7012
0.2988 0.2988 0.9512
0.7012 0.7012 0.0488
0.9512 0.9512 0.2988
0.1250 0.1250 0.1250
0.8750 0.8750 0.8750
0.3750 0.3750 0.3750
0.6250 0.6250 0.6250
0.0468 0.6177 0.5435
0.2920 0.5435 0.6177
0.3823 0.9532 0.7080
0.4565 0.7080 0.9532
0.5435 0.2920 0.0468
0.6177 0.0468 0.2920
0.7080 0.4565 0.3823
0.9532 0.3823 0.4565
```